1.
The following is a calculated X-ray powder pattern of PrPd3Au. It was derived from a structure optimized by DFT (GGA-PBE), using Cu Kα X-rays.
Lines closer than 0.1° are merged.

Cell and atoms:
abc: 4.6114 6.2272 6.9084
angles: 90.00 90.00 90.00
Sites, in units of the cell vectors:
Pr 0.2500 0.2500 0.2192
Pr 0.7500 0.7500 0.7808
Pd 0.2500 0.0404 0.7534
Pd 0.2500 0.4596 0.7534
Pd 0.2500 0.7500 0.0647
Pd 0.7500 0.2500 0.9353
Pd 0.7500 0.5404 0.2466
Pd 0.7500 0.9596 0.2466
Au 0.2500 0.7500 0.4490
Au 0.7500 0.2500 0.5510

The 6 most intense peaks (2θ from 15° to 90°), in order of rising 2θ:
2θ/deg  Rel. int.
35.5  100
37.2  94
39.1  52
41.8  20
43.9  21
74.0  19



2.
The following is a calculated X-ray powder pattern of PrPd4Au12. It was derived from a structure optimized by DFT (GGA-PBE), using Cu Kα X-rays.
Lines closer than 0.1° are merged.

Cell and atoms:
abc: 7.8797 7.8797 7.8797
angles: 109.47 109.47 109.47
Sites, in units of the cell vectors:
Pr 0.0000 0.0000 0.0000
Pd 0.0000 0.0000 0.5000
Pd 0.0000 0.5000 0.0000
Pd 0.5000 0.0000 0.0000
Pd 0.5000 0.5000 0.5000
Au 0.1501 0.4985 0.3485
Au 0.1501 0.8016 0.6515
Au 0.1984 0.3485 0.8499
Au 0.3485 0.1501 0.4985
Au 0.3485 0.8499 0.1984
Au 0.4985 0.3485 0.1501
Au 0.5015 0.6515 0.8499
Au 0.6515 0.1501 0.8016
Au 0.6515 0.8499 0.5015
Au 0.8016 0.6515 0.1501
Au 0.8499 0.1984 0.3485
Au 0.8499 0.5015 0.6515

The 6 most intense peaks (2θ from 15° to 90°), in order of rising 2θ:
2θ/deg  Rel. int.
31.1  100
37.0  35
44.5  20
49.0  17
51.2  39
70.2  15



3.
The following is a calculated X-ray powder pattern of PrPdRhAu. It was derived from a structure optimized by DFT (GGA-PBE), using Cu Kα X-rays.
Lines closer than 0.1° are merged.

Cell and atoms:
abc: 4.7905 4.7905 4.7905
angles: 60.00 60.00 60.00
Sites, in units of the cell vectors:
Pr 0.0000 0.0000 0.0000
Pd 0.2500 0.2500 0.2500
Rh 0.7500 0.7500 0.7500
Au 0.5000 0.5000 0.5000

The 6 most intense peaks (2θ from 15° to 90°), in order of rising 2θ:
2θ/deg  Rel. int.
26.3  6
37.5  100
54.2  17
61.2  3
67.8  35
80.1  11



4.
The following is a calculated X-ray powder pattern of PrSbPd2Au2. It was derived from a structure optimized by DFT (GGA-PBE), using Cu Kα X-rays.
Lines closer than 0.1° are merged.

Cell and atoms:
abc: 6.5258 6.5258 6.5258
angles: 132.29 132.29 69.77
Sites, in units of the cell vectors:
Pr 0.0000 0.0000 0.0000
Sb 0.5000 0.5000 0.0000
Pd 0.2599 0.2599 0.0000
Pd 0.7401 0.7401 0.0000
Au 0.2500 0.7500 0.5000
Au 0.7500 0.2500 0.5000

The 6 most intense peaks (2θ from 15° to 90°), in order of rising 2θ:
2θ/deg  Rel. int.
16.6  44
29.2  76
33.5  51
34.0  100
48.4  73
60.5  37



5.
The following is a calculated X-ray powder pattern of Pr2Sn4PdAu3. It was derived from a structure optimized by DFT (GGA-PBE), using Cu Kα X-rays.
Lines closer than 0.1° are merged.

Cell and atoms:
abc: 4.6018 4.6018 11.4535
angles: 90.00 90.00 90.00
Sites, in units of the cell vectors:
Pr 0.0000 0.5000 0.2304
Pr 0.5000 0.0000 0.7696
Sn 0.0000 0.0000 0.5000
Sn 0.0000 0.5000 0.8739
Sn 0.5000 0.0000 0.1261
Sn 0.5000 0.5000 0.5000
Pd 0.5000 0.5000 0.0000
Au 0.0000 0.0000 0.0000
Au 0.0000 0.5000 0.6427
Au 0.5000 0.0000 0.3573

The 6 most intense peaks (2θ from 15° to 90°), in order of rising 2θ:
2θ/deg  Rel. int.
30.4  49
31.6  100
39.2  73
42.0  45
44.2  31
56.6  25



6.
The following is a calculated X-ray powder pattern of Pr2Zn3Pd12Au. It was derived from a structure optimized by DFT (GGA-PBE), using Cu Kα X-rays.
Lines closer than 0.1° are merged.

Cell and atoms:
abc: 7.8151 7.8151 7.8151
angles: 64.20 64.20 64.20
Sites, in units of the cell vectors:
Pr 0.1115 0.1115 0.1115
Pr 0.8885 0.8885 0.8885
Zn 0.0000 0.5000 0.5000
Zn 0.5000 0.0000 0.5000
Zn 0.5000 0.5000 0.0000
Pd 0.1079 0.6461 0.6461
Pd 0.1282 0.1282 0.6156
Pd 0.1282 0.6156 0.1282
Pd 0.3539 0.3539 0.8921
Pd 0.3539 0.8921 0.3539
Pd 0.3844 0.8718 0.8718
Pd 0.6156 0.1282 0.1282
Pd 0.6461 0.1079 0.6461
Pd 0.6461 0.6461 0.1079
Pd 0.8718 0.3844 0.8718
Pd 0.8718 0.8718 0.3844
Pd 0.8921 0.3539 0.3539
Au 0.5000 0.5000 0.5000

The 6 most intense peaks (2θ from 15° to 90°), in order of rising 2θ:
2θ/deg  Rel. int.
25.9  34
31.5  83
41.2  28
43.6  100
46.7  75
82.2  28



7.
The following is a calculated X-ray powder pattern of Pd3Pt4Au12. It was derived from a structure optimized by DFT (GGA-PBE), using Cu Kα X-rays.
Lines closer than 0.1° are merged.

Cell and atoms:
abc: 8.4528 8.4528 8.4528
angles: 109.47 109.47 109.47
Sites, in units of the cell vectors:
Pd 0.0000 0.5000 0.5000
Pd 0.5000 0.0000 0.5000
Pd 0.5000 0.5000 0.0000
Pt 0.0000 0.0000 0.5000
Pt 0.0000 0.5000 0.0000
Pt 0.5000 0.0000 0.0000
Pt 0.5000 0.5000 0.5000
Au 0.1065 0.3555 0.7510
Au 0.2490 0.6045 0.3555
Au 0.2490 0.8935 0.6445
Au 0.3555 0.2490 0.6045
Au 0.3555 0.7510 0.1065
Au 0.3955 0.6445 0.7510
Au 0.6045 0.3555 0.2490
Au 0.6445 0.2490 0.8935
Au 0.6445 0.7510 0.3955
Au 0.7510 0.1065 0.3555
Au 0.7510 0.3955 0.6445
Au 0.8935 0.6445 0.2490

The 6 most intense peaks (2θ from 15° to 90°), in order of rising 2θ:
2θ/deg  Rel. int.
28.9  37
34.4  52
36.8  51
41.4  100
45.5  92
72.5  55



8.
The following is a calculated X-ray powder pattern of Pd3Pt2Au4. It was derived from a structure optimized by DFT (GGA-PBE), using Cu Kα X-rays.
Lines closer than 0.1° are merged.

Cell and atoms:
abc: 4.9881 4.9881 11.7915
angles: 110.80 110.80 33.17
Sites, in units of the cell vectors:
Pd 0.0000 0.0000 0.0000
Pd 0.1110 0.1110 0.4390
Pd 0.8890 0.8890 0.5610
Pt 0.4431 0.4431 0.7793
Pt 0.5569 0.5569 0.2207
Au 0.2203 0.2203 0.8871
Au 0.3364 0.3364 0.3404
Au 0.6636 0.6636 0.6596
Au 0.7797 0.7797 0.1129

The 6 most intense peaks (2θ from 15° to 90°), in order of rising 2θ:
2θ/deg  Rel. int.
38.3  52
38.5  50
38.7  100
44.8  66
44.9  33
78.6  32